Mg5Tl4Bi: computed PXRD pattern (Cu Kα, 1.54184 Å), based on a DFT-relaxed cell (PBE, Alexandria).
No peak broadening, texture or thermal motion is included.

Atomic structure:
a b c (Å): 3.732 3.732 18.177
angles (deg): 90.00 90.00 90.00
Element x y z (fractional)
Mg 0.000 0.000 0.000
Mg 0.000 0.000 0.199
Mg 0.000 0.000 0.395
Mg 0.000 0.000 0.605
Mg 0.000 0.000 0.801
Tl 0.500 0.500 0.099
Tl 0.500 0.500 0.298
Tl 0.500 0.500 0.702
Tl 0.500 0.500 0.901
Bi 0.500 0.500 0.500

Most intense lines, 10 to 90 degrees two-theta, sorted by position:
(hkl)	2θ (°)	I_rel
1 0 0	23.84	75
0 0 5	24.49	35
1 1 0	33.97	52
1 0 5	34.44	100
1 1 5	42.32	34
2 0 0	48.81	19
2 1 0	55.02	16
2 0 5	55.34	16
2 1 5	61.10	39
1 1 10	62.00	19